# 1
The following is a calculated powder diffraction line list of CdAu2I4. It was derived from a DFT-relaxed cell (GGA-PBE, Alexandria), using Cu Kα (weighted mean of Kα1 and Kα2).

a b c (Å): 6.539 6.539 6.299
angles (deg): 90.00 90.00 90.00
Space group P-42m (No. 111)
One atom of each set of equivalent atoms:
Cd  0.000  0.000  0.000 (multiplicity 1)
Au  0.000  0.500  0.500 (multiplicity 2)
I  0.260  0.260  0.243 (multiplicity 4)

The 10 most intense peaks (10 to 90 degrees two-theta), by angle:
- 2θ = 14.1°, I = 10, hkl 0 0 1
- 2θ = 19.2°, I = 12, hkl 1 1 0
- 2θ = 23.9°, I = 100, hkl 1 1 1
- 2θ = 30.8°, I = 9, hkl 2 0 1
- 2θ = 39.0°, I = 28, hkl 2 2 0
- 2θ = 39.7°, I = 52, hkl 2 0 2
- 2θ = 46.2°, I = 34, hkl 3 1 1
- 2θ = 47.6°, I = 16, hkl 1 1 3
- 2θ = 63.1°, I = 13, hkl 3 1 3
- 2θ = 71.1°, I = 18, hkl 4 2 2

# 2
The following is a calculated powder diffraction line list of TaPd7. It was derived from a DFT-relaxed cell (GGA-PBE, Alexandria), using Cu Kα (weighted mean of Kα1 and Kα2).

a b c (Å): 3.979 3.979 15.700
angles (deg): 90.00 90.00 90.00
Space group I4/mmm (No. 139)
One atom of each set of equivalent atoms:
Ta  0.000  0.000  0.000 (multiplicity 2)
Pd  0.000  0.000  0.252 (multiplicity 4)
Pd  0.000  0.000  0.500 (multiplicity 2)
Pd  0.000  0.500  0.121 (multiplicity 8)

The 10 most intense peaks (10 to 90 degrees two-theta), by angle:
- 2θ = 11.3°, I = 5, hkl 0 0 2
- 2θ = 23.1°, I = 2, hkl 1 0 1
- 2θ = 39.4°, I = 100, hkl 1 1 4
- 2θ = 45.6°, I = 33, hkl 2 0 0
- 2θ = 46.3°, I = 15, hkl 0 0 8
- 2θ = 66.5°, I = 11, hkl 2 2 0
- 2θ = 67.0°, I = 20, hkl 2 0 8
- 2θ = 80.1°, I = 25, hkl 3 1 4
- 2θ = 81.1°, I = 11, hkl 1 1 12
- 2θ = 84.8°, I = 11, hkl 2 2 8

# 3
The following is a calculated powder diffraction line list of K2Na5Br3O2. It was derived from a DFT-relaxed cell (GGA-PBE, Alexandria), using Cu Kα (weighted mean of Kα1 and Kα2).

a b c (Å): 4.664 4.664 26.124
angles (deg): 90.00 90.00 90.00
Space group I4/mmm (No. 139)
One atom of each set of equivalent atoms:
K  0.000  0.000  0.188 (multiplicity 4)
Na  0.000  0.000  0.000 (multiplicity 2)
Na  0.000  0.500  0.087 (multiplicity 8)
Br  0.000  0.000  0.320 (multiplicity 4)
Br  0.000  0.000  0.500 (multiplicity 2)
O  0.000  0.000  0.088 (multiplicity 4)

The 10 most intense peaks (10 to 90 degrees two-theta), by angle:
- 2θ = 20.4°, I = 21, hkl 0 0 6
- 2θ = 25.6°, I = 33, hkl 1 0 5
- 2θ = 27.0°, I = 57, hkl 1 1 0
- 2θ = 34.1°, I = 100, hkl 1 1 6
- 2θ = 34.3°, I = 17, hkl 0 0 10
- 2θ = 38.6°, I = 59, hkl 2 0 0
- 2θ = 52.6°, I = 18, hkl 2 0 10
- 2θ = 55.7°, I = 19, hkl 2 2 0
- 2θ = 58.0°, I = 14, hkl 2 0 12
- 2θ = 67.0°, I = 26, hkl 3 1 6

# 4
The following is a calculated powder diffraction line list of Pm8NiPd3I4. It was derived from a DFT-relaxed cell (GGA-PBE, Alexandria), using Cu Kα (weighted mean of Kα1 and Kα2).

a b c (Å): 8.4393 8.4393 24.1272
angles (deg): 90.00 90.00 120.00
Space group R-3m (No. 166, hexagonal axes)
One atom of each set of equivalent atoms:
Pm  0.0000  0.0000  0.2297 (multiplicity 6)
Pm  0.0111  0.5056  0.2284 (multiplicity 18)
Ni  0.0000  0.0000  0.5000 (multiplicity 3)
Pd  0.0000  0.5000  0.5000 (multiplicity 9)
I  0.0000  0.0000  0.0000 (multiplicity 3)
I  0.0000  0.5000  0.0000 (multiplicity 9)

The 10 most intense peaks (10 to 90 degrees two-theta), by angle:
- 2θ = 11.0°, I = 10, hkl 0 0 3
- 2θ = 28.6°, I = 100, hkl 0 2 4
- 2θ = 30.7°, I = 16, hkl 2 0 5
- 2θ = 33.4°, I = 9, hkl 0 0 9
- 2θ = 35.8°, I = 11, hkl 0 2 7
- 2θ = 38.7°, I = 26, hkl 2 0 8
- 2θ = 42.9°, I = 39, hkl 2 2 0
- 2θ = 52.3°, I = 18, hkl 4 0 4
- 2θ = 55.4°, I = 12, hkl 2 2 9
- 2θ = 69.9°, I = 15, hkl 2 4 4

# 5
The following is a calculated powder diffraction line list of Pm3Y8Th. It was derived from a DFT-relaxed cell (GGA-PBE, Alexandria), using Cu Kα (weighted mean of Kα1 and Kα2).

a b c (Å): 10.937 11.500 6.345
angles (deg): 90.00 90.00 90.00
Space group Imm2 (No. 44)
One atom of each set of equivalent atoms:
Pm  0.000  0.000  0.000 (multiplicity 2)
Pm  0.000  0.250  0.326 (multiplicity 4)
Y  0.164  0.251  0.836 (multiplicity 8)
Y  0.165  0.500  0.504 (multiplicity 4)
Y  0.170  0.000  0.502 (multiplicity 4)
Th  0.000  0.500  0.000 (multiplicity 2)

The 10 most intense peaks (10 to 90 degrees two-theta), by angle:
- 2θ = 16.2°, I = 9, hkl 2 0 0
- 2θ = 28.1°, I = 7, hkl 0 0 2
- 2θ = 28.2°, I = 17, hkl 3 0 1
- 2θ = 31.1°, I = 25, hkl 0 4 0
- 2θ = 32.3°, I = 100, hkl 0 2 2
- 2θ = 42.5°, I = 16, hkl 3 4 1
- 2θ = 49.8°, I = 13, hkl 3 0 3
- 2θ = 56.1°, I = 20, hkl 0 6 2
- 2θ = 59.9°, I = 15, hkl 3 4 3
- 2θ = 60.8°, I = 11, hkl 6 2 2

# 6
The following is a calculated powder diffraction line list of Ti8Al2Pd. It was derived from a DFT-relaxed cell (GGA-PBE, Alexandria), using Cu Kα (weighted mean of Kα1 and Kα2).

a b c (Å): 4.013 4.013 11.764
angles (deg): 90.00 90.00 90.00
Space group P4/mmm (No. 123)
One atom of each set of equivalent atoms:
Ti  0.000  0.000  0.178 (multiplicity 2)
Ti  0.000  0.500  0.000 (multiplicity 2)
Ti  0.000  0.500  0.346 (multiplicity 4)
Al  0.500  0.500  0.177 (multiplicity 2)
Pd  0.500  0.500  0.500 (multiplicity 1)

The 10 most intense peaks (10 to 90 degrees two-theta), by angle:
- 2θ = 23.4°, I = 22, hkl 1 0 1
- 2θ = 26.9°, I = 18, hkl 1 0 2
- 2θ = 39.2°, I = 100, hkl 1 1 3
- 2θ = 45.2°, I = 33, hkl 2 0 0
- 2θ = 46.3°, I = 14, hkl 0 0 6
- 2θ = 65.8°, I = 10, hkl 2 2 0
- 2θ = 66.7°, I = 17, hkl 2 0 6
- 2θ = 79.4°, I = 22, hkl 3 1 3
- 2θ = 81.0°, I = 8, hkl 1 1 9
- 2θ = 84.2°, I = 8, hkl 2 2 6

# 7
The following is a calculated powder diffraction line list of Li5MgGa6. It was derived from a DFT-relaxed cell (GGA-PBE, Alexandria), using Cu Kα (weighted mean of Kα1 and Kα2).

a b c (Å): 13.850 6.656 4.433
angles (deg): 90.00 108.10 90.00
Space group C2/m (No. 12)
One atom of each set of equivalent atoms:
Li  0.000  0.000  0.000 (multiplicity 2)
Li  0.160  0.500  0.660 (multiplicity 4)
Li  0.172  0.000  0.672 (multiplicity 4)
Mg  0.000  0.500  0.000 (multiplicity 2)
Ga  0.000  0.226  0.500 (multiplicity 4)
Ga  0.172  0.236  0.172 (multiplicity 8)

The 10 most intense peaks (10 to 90 degrees two-theta), by angle:
- 2θ = 26.8°, I = 88, hkl 0 2 0
- 2θ = 28.5°, I = 79, hkl 2 0 1
- 2θ = 28.8°, I = 77, hkl 4 0 -1
- 2θ = 39.5°, I = 100, hkl 2 2 1
- 2θ = 39.7°, I = 99, hkl 4 2 -1
- 2θ = 40.7°, I = 48, hkl 2 0 -2
- 2θ = 41.1°, I = 46, hkl 6 0 0
- 2θ = 49.4°, I = 32, hkl 2 2 -2
- 2θ = 49.8°, I = 31, hkl 6 2 0
- 2θ = 66.5°, I = 19, hkl 0 0 3

# 8
The following is a calculated powder diffraction line list of NdSm4Hg. It was derived from a DFT-relaxed cell (GGA-PBE, Alexandria), using Cu Kα (weighted mean of Kα1 and Kα2).

a b c (Å): 3.668 3.668 14.234
angles (deg): 90.00 90.00 90.00
Space group P4/mmm (No. 123)
One atom of each set of equivalent atoms:
Nd  0.000  0.000  0.000 (multiplicity 1)
Sm  0.000  0.000  0.358 (multiplicity 2)
Sm  0.500  0.500  0.180 (multiplicity 2)
Hg  0.500  0.500  0.500 (multiplicity 1)

The 10 most intense peaks (10 to 90 degrees two-theta), by angle:
- 2θ = 30.8°, I = 100, hkl 1 0 3
- 2θ = 34.6°, I = 40, hkl 1 1 0
- 2θ = 35.1°, I = 8, hkl 1 0 4
- 2θ = 37.9°, I = 11, hkl 0 0 6
- 2θ = 49.7°, I = 15, hkl 2 0 0
- 2θ = 52.3°, I = 17, hkl 1 1 6
- 2θ = 57.6°, I = 7, hkl 1 0 8
- 2θ = 59.6°, I = 31, hkl 2 1 3
- 2θ = 64.2°, I = 15, hkl 2 0 6
- 2θ = 85.3°, I = 10, hkl 2 2 6

# 9
The following is a calculated powder diffraction line list of Pm6Zn2Cu. It was derived from a DFT-relaxed cell (GGA-PBE, Alexandria), using Cu Kα (weighted mean of Kα1 and Kα2).

a b c (Å): 15.911 7.160 5.013
angles (deg): 90.00 108.29 90.00
Space group C2/m (No. 12)
One atom of each set of equivalent atoms:
Pm  0.000  0.244  0.000 (multiplicity 4)
Pm  0.164  0.246  0.664 (multiplicity 8)
Zn  0.166  0.500  0.166 (multiplicity 4)
Cu  0.000  0.000  0.500 (multiplicity 2)

The 10 most intense peaks (10 to 90 degrees two-theta), by angle:
- 2θ = 21.6°, I = 11, hkl 1 1 -1
- 2θ = 24.9°, I = 19, hkl 0 2 0
- 2θ = 25.1°, I = 37, hkl 2 0 1
- 2θ = 35.6°, I = 100, hkl 6 0 0
- 2θ = 35.8°, I = 20, hkl 2 0 -2
- 2θ = 51.4°, I = 14, hkl 4 0 2
- 2θ = 58.0°, I = 11, hkl 4 2 2
- 2θ = 64.0°, I = 14, hkl 2 4 -2
- 2θ = 64.2°, I = 14, hkl 0 2 3
- 2θ = 75.4°, I = 9, hkl 4 4 2

# 10
The following is a calculated powder diffraction line list of Sr8LiIr2. It was derived from a DFT-relaxed cell (GGA-PBE, Alexandria), using Cu Kα (weighted mean of Kα1 and Kα2).

a b c (Å): 6.181 8.484 9.179
angles (deg): 84.29 82.49 79.17
Space group P-1 (No. 2)
One atom of each set of equivalent atoms:
Sr  0.196  0.365  0.372 (multiplicity 2)
Sr  0.197  0.843  0.812 (multiplicity 2)
Sr  0.258  0.375  0.887 (multiplicity 2)
Sr  0.301  0.826  0.381 (multiplicity 2)
Li  0.500  0.000  0.000 (multiplicity 1)
Ir  0.345  0.556  0.604 (multiplicity 2)

The 10 most intense peaks (10 to 90 degrees two-theta), by angle:
- 2θ = 10.6°, I = 100, hkl 0 1 0
- 2θ = 15.0°, I = 39, hkl 0 1 -1
- 2θ = 16.7°, I = 36, hkl 1 0 1
- 2θ = 17.9°, I = 41, hkl 1 1 1
- 2θ = 28.0°, I = 34, hkl 0 2 2
- 2θ = 29.6°, I = 31, hkl 2 0 0
- 2θ = 29.9°, I = 30, hkl 2 1 1
- 2θ = 30.3°, I = 50, hkl 0 2 -2
- 2θ = 34.5°, I = 26, hkl -1 2 2
- 2θ = 36.3°, I = 25, hkl 2 2 2

# 11
The following is a calculated powder diffraction line list of MgFeNi. It was derived from a DFT-relaxed cell (GGA-PBE, Alexandria), using Cu Kα (weighted mean of Kα1 and Kα2).

a b c (Å): 2.872 4.098 7.097
angles (deg): 90.00 90.00 90.00
Space group Pmmn (No. 59, origin choice 2)
One atom of each set of equivalent atoms:
Mg  0.250  0.250  0.138 (multiplicity 2)
Fe  0.250  0.750  0.512 (multiplicity 2)
Ni  0.250  0.250  0.755 (multiplicity 2)

The 10 most intense peaks (10 to 90 degrees two-theta), by angle:
- 2θ = 12.5°, I = 71, hkl 0 0 1
- 2θ = 25.1°, I = 29, hkl 0 1 1
- 2θ = 33.7°, I = 20, hkl 1 0 1
- 2θ = 38.0°, I = 20, hkl 0 0 3
- 2θ = 40.4°, I = 60, hkl 1 1 1
- 2θ = 44.2°, I = 70, hkl 0 2 0
- 2θ = 46.3°, I = 100, hkl 1 1 2
- 2θ = 70.2°, I = 12, hkl 0 2 4
- 2θ = 81.9°, I = 20, hkl 2 2 0
- 2θ = 82.8°, I = 16, hkl 1 3 2

# 12
The following is a calculated powder diffraction line list of Ag2SnGeS4. It was derived from a DFT-relaxed cell (GGA-PBE, Alexandria), using Cu Kα (weighted mean of Kα1 and Kα2).

a b c (Å): 9.189 6.645 6.326
angles (deg): 90.00 90.00 90.00
Space group Pmn2_1 (No. 31)
One atom of each set of equivalent atoms:
Ag  0.249  0.199  0.000 (multiplicity 4)
Sn  0.000  0.721  0.964 (multiplicity 2)
Ge  0.000  0.332  0.500 (multiplicity 2)
S  0.000  0.334  0.862 (multiplicity 2)
S  0.000  0.656  0.386 (multiplicity 2)
S  0.206  0.183  0.400 (multiplicity 4)

The 10 most intense peaks (10 to 90 degrees two-theta), by angle:
- 2θ = 23.5°, I = 28, hkl 2 1 0
- 2θ = 26.8°, I = 45, hkl 0 2 0
- 2θ = 27.5°, I = 100, hkl 2 1 1
- 2θ = 28.2°, I = 52, hkl 0 0 2
- 2θ = 39.2°, I = 26, hkl 4 0 0
- 2θ = 39.3°, I = 24, hkl 0 2 2
- 2θ = 45.5°, I = 24, hkl 2 3 0
- 2θ = 49.0°, I = 20, hkl 4 0 2
- 2θ = 49.5°, I = 35, hkl 2 1 3
- 2θ = 54.4°, I = 19, hkl 2 3 2

# 13
The following is a calculated powder diffraction line list of Dy2HoEr3Tm6. It was derived from a DFT-relaxed cell (GGA-PBE, Alexandria), using Cu Kα (weighted mean of Kα1 and Kα2).

a b c (Å): 6.061 10.482 11.584
angles (deg): 90.00 100.01 90.00
Space group C2/m (No. 12)
One atom of each set of equivalent atoms:
Dy  0.000  0.167  0.000 (multiplicity 4)
Ho  0.000  0.500  0.000 (multiplicity 2)
Er  0.000  0.000  0.500 (multiplicity 2)
Er  0.000  0.333  0.500 (multiplicity 4)
Tm  0.250  0.000  0.251 (multiplicity 4)
Tm  0.250  0.167  0.749 (multiplicity 8)

The 10 most intense peaks (10 to 90 degrees two-theta), by angle:
- 2θ = 31.3°, I = 100, hkl 1 3 1
- 2θ = 36.3°, I = 51, hkl 2 0 2
- 2θ = 52.3°, I = 36, hkl 1 3 5
- 2θ = 62.3°, I = 28, hkl 4 0 0
- 2θ = 62.3°, I = 14, hkl 0 6 4
- 2θ = 65.4°, I = 9, hkl 2 6 2
- 2θ = 85.6°, I = 8, hkl 4 6 0
- 2θ = 85.7°, I = 10, hkl 2 6 6
- 2θ = 88.4°, I = 8, hkl 5 3 1
- 2θ = 88.5°, I = 8, hkl 0 6 8

# 14
The following is a calculated powder diffraction line list of Sr3PrMg8. It was derived from a DFT-relaxed cell (GGA-PBE, Alexandria), using Cu Kα (weighted mean of Kα1 and Kα2).

a b c (Å): 6.3658 6.3658 31.1191
angles (deg): 90.00 90.00 120.00
Space group R3m (No. 160, hexagonal axes)
One atom of each set of equivalent atoms:
Sr  0.0000  0.0000  0.0000 (multiplicity 3)
Sr  0.0000  0.0000  0.1265 (multiplicity 3)
Sr  0.0000  0.0000  0.5029 (multiplicity 3)
Pr  0.0000  0.0000  0.6267 (multiplicity 3)
Mg  0.0000  0.0000  0.3133 (multiplicity 3)
Mg  0.0000  0.0000  0.8140 (multiplicity 3)
Mg  0.1670  0.3341  0.8989 (multiplicity 9)
Mg  0.1683  0.3366  0.3958 (multiplicity 9)

The 10 most intense peaks (10 to 90 degrees two-theta), by angle:
- 2θ = 17.1°, I = 37, hkl 0 0 6
- 2θ = 28.1°, I = 82, hkl 1 1 0
- 2θ = 33.0°, I = 100, hkl 1 1 6
- 2θ = 43.9°, I = 10, hkl 0 1 14
- 2θ = 49.6°, I = 25, hkl 3 0 0
- 2θ = 52.9°, I = 32, hkl 0 3 6
- 2θ = 58.0°, I = 23, hkl 2 2 0
- 2θ = 65.6°, I = 14, hkl 3 1 8
- 2θ = 79.7°, I = 13, hkl 4 1 0
- 2θ = 82.3°, I = 16, hkl 4 1 6